Calculated X-ray powder pattern of ZnNiP2O7 for copper Kα, from a DFT-relaxed cell (PBE+U, Alexandria).
No peak broadening, texture or thermal motion is included.

Cell lengths 7.025, 8.395, 9.102 Å; angles 90.00, 113.48, 90.00 degrees
Space group P2_1/c (No. 14)
Inequivalent atoms, fractional coordinates:
Zn 0.195 0.055 0.318 [4 per cell]
Ni 0.272 0.076 0.891 [4 per cell]
P 0.029 0.727 0.968 [4 per cell]
P 0.439 0.730 0.259 [4 per cell]
O 0.022 0.092 0.657 [4 per cell]
O 0.056 0.610 0.400 [4 per cell]
O 0.128 0.236 0.453 [4 per cell]
O 0.245 0.670 0.101 [4 per cell]
O 0.383 0.239 0.299 [4 per cell]
O 0.390 0.613 0.816 [4 per cell]
O 0.476 0.592 0.379 [4 per cell]

The 10 most intense peaks (10° ≤ 2θ ≤ 80°), low angle first:
17.35°, I = 9, hkl 1 1 0; 20.22°, I = 11, hkl 1 0 -2; 23.10°, I = 8, hkl 1 1 1; 29.44°, I = 100, hkl 1 2 -2; 29.78°, I = 46, hkl 1 0 2; 34.96°, I = 16, hkl 1 3 0; 35.11°, I = 16, hkl 2 2 0; 41.57°, I = 12, hkl 1 1 3; 42.62°, I = 24, hkl 2 3 -2; 58.07°, I = 15, hkl 3 3 -4